(1)
Calculated powder diffractogram of Sm3Er4 for CuKα, from a cell relaxed with GGA-PBE.

Top 7 peaks for 10 to 80 degrees two-theta, in order of rising 2θ:
2θ/deg  Rel. int.
30.78  100
35.68  17
35.70  34
51.37  36
61.09  43
64.12  12
75.61  6

Cell and atoms:
```
Sm3Er4
1.0
5.626 -2.515 0.000
5.626 2.515 0.000
-1.134 0.000 7.874
Sm Er
3 4
Direct
0.000 0.000 0.000
0.286 0.286 0.855
0.714 0.714 0.145
0.142 0.142 0.429
0.428 0.428 0.290
0.572 0.572 0.710
0.858 0.858 0.571
```



(2)
Calculated powder diffractogram of SmEr3 for CuKα, from a cell relaxed with GGA-PBE.

Top 6 peaks for 10 to 80 degrees two-theta, in order of rising 2θ:
2θ/deg  Rel. int.
30.98  100
35.93  51
51.72  36
61.52  43
64.58  12
76.17  6

Cell and atoms:
```
SmEr3
1.0
4.999 0.000 0.000
0.000 4.999 0.000
0.000 0.000 4.999
Sm Er
1 3
Direct
0.000 0.000 0.000
0.000 0.500 0.500
0.500 0.000 0.500
0.500 0.500 0.000
```



(3)
Calculated powder diffractogram of Sm2Er17 for CuKα, from a cell relaxed with GGA-PBE.

Top 8 peaks for 10 to 80 degrees two-theta, in order of rising 2θ:
2θ/deg  Rel. int.
27.65  32
27.77  30
30.87  31
31.74  56
31.85  100
32.17  60
35.80  81
57.36  31

Cell and atoms:
```
Sm2Er17
1.0
5.564 3.213 5.792
-5.564 3.213 5.792
0.000 -6.425 5.792
Sm Er
2 17
Direct
0.174 0.174 0.174
0.826 0.826 0.826
0.000 0.500 0.500
0.134 0.134 0.648
0.134 0.648 0.134
0.201 0.500 0.799
0.201 0.799 0.500
0.352 0.866 0.866
0.402 0.402 0.402
0.500 0.000 0.500
0.500 0.201 0.799
0.500 0.500 0.000
0.500 0.799 0.201
0.598 0.598 0.598
0.648 0.134 0.134
0.799 0.201 0.500
0.799 0.500 0.201
0.866 0.352 0.866
0.866 0.866 0.352
```



(4)
Calculated powder diffractogram of Sm2Er7 for CuKα, from a cell relaxed with GGA-PBE.

Top 8 peaks for 10 to 80 degrees two-theta, in order of rising 2θ:
2θ/deg  Rel. int.
31.35  82
32.29  100
33.19  24
38.25  18
45.63  25
54.62  18
57.00  22
62.12  34

Cell and atoms:
```
Sm2Er7
1.0
9.603 0.000 0.000
-4.802 8.316 0.000
0.000 0.000 3.548
Sm Er
2 7
Direct
0.333 0.667 0.000
0.667 0.333 0.000
0.000 0.000 0.500
0.000 0.304 0.000
0.000 0.643 0.500
0.304 0.000 0.000
0.357 0.357 0.500
0.643 0.000 0.500
0.696 0.696 0.000
```



(5)
Calculated powder diffractogram of Sm3Er4 for CuKα, from a cell relaxed with GGA-PBE.

Top 8 peaks for 10 to 80 degrees two-theta, in order of rising 2θ:
2θ/deg  Rel. int.
30.79  100
35.70  51
51.38  36
61.06  29
61.19  14
64.14  12
75.55  4
75.77  2

Cell and atoms:
```
Sm3Er4
1.0
-1.779 2.511 12.464
1.779 -2.511 12.464
1.779 2.511 -12.464
Sm Er
3 4
Direct
0.000 0.000 0.000
0.143 0.143 0.000
0.857 0.857 0.000
0.285 0.285 0.000
0.428 0.428 0.000
0.572 0.572 0.000
0.715 0.715 0.000
```



(6)
Calculated powder diffractogram of Sm4Er5 for CuKα, from a cell relaxed with GGA-PBE.

Top 8 peaks for 10 to 80 degrees two-theta, in order of rising 2θ:
2θ/deg  Rel. int.
30.21  94
32.04  100
32.62  28
33.12  93
35.19  21
52.69  33
59.58  27
60.99  25

Cell and atoms:
```
Sm4Er5
1.0
-1.823 6.053 6.523
1.823 -6.053 6.523
1.823 6.053 -6.523
Sm Er
4 5
Direct
0.046 0.189 0.857
0.332 0.189 0.143
0.668 0.811 0.857
0.954 0.811 0.143
0.000 0.500 0.500
0.296 0.500 0.796
0.375 0.875 0.500
0.625 0.125 0.500
0.704 0.500 0.204
```



(7)
Calculated powder diffractogram of SmEr2 for CuKα, from a cell relaxed with GGA-PBE.

Top 8 peaks for 10 to 80 degrees two-theta, in order of rising 2θ:
2θ/deg  Rel. int.
30.88  100
35.73  17
35.84  34
51.54  36
61.20  14
61.35  28
64.34  12
75.97  4

Cell and atoms:
```
SmEr2
1.0
-1.772 1.772 7.539
1.772 -1.772 7.539
1.772 1.772 -7.539
Sm Er
1 2
Direct
0.000 0.000 0.000
0.332 0.332 0.000
0.668 0.668 0.000
```



(8)
Calculated powder diffractogram of Sm3Er for CuKα, from a cell relaxed with GGA-PBE.

Top 8 peaks for 10 to 80 degrees two-theta, in order of rising 2θ:
2θ/deg  Rel. int.
28.25  24
30.95  25
32.30  100
42.40  16
50.08  13
55.90  21
60.04  15
60.73  11

Cell and atoms:
```
Sm3Er
1.0
-1.828 5.779 3.151
1.828 -5.779 3.151
1.828 5.779 -3.151
Sm Er
3 1
Direct
0.000 0.000 0.000
0.418 0.667 0.752
0.915 0.667 0.248
0.498 0.998 0.500
```